No. 1
This entry pairs a crystal structure of Ho4ZrAl15 with its calculated powder diffraction line list. Radiation: copper Kα. Structure: a crystal structure in the Materials Project, relaxed with PBE.

The 6 most intense peaks (10 to 80 degrees two-theta), by angle:
(1 0 0), 4.212 Å, 2θ 21.09, rel. 86.4
(1 1 0), 2.978 Å, 2θ 30.00, rel. 73.1
(1 1 5), 2.432 Å, 2θ 36.97, rel. 100.0
(2 0 0), 2.104 Å, 2θ 42.99, rel. 32.7
(2 0 5), 1.885 Å, 2θ 48.29, rel. 26.5
(2 1 5), 1.720 Å, 2θ 53.27, rel. 29.8

Structural model:
```
data_Ho4ZrAl15
_chemical_formula_sum 'Ho4 Zr1 Al15'
_space_group_name_H-M_alt 'P 4/m m m'
_space_group_IT_number 123
_space_group_name_Hall '-P 4 2'
_cell_length_a 4.2078
_cell_length_b 4.2078
_cell_length_c 21.1019
_cell_angle_alpha 90.00
_cell_angle_beta 90.00
_cell_angle_gamma 90.00
loop_
_atom_site_label
_atom_site_fract_x
_atom_site_fract_y
_atom_site_fract_z
Ho1 0.0000 0.0000 0.1004
Ho2 0.0000 0.0000 0.3022
Zr1 0.0000 0.0000 0.5000
Al1 0.0000 0.5000 0.0000
Al2 0.0000 0.5000 0.2008
Al3 0.0000 0.5000 0.4034
Al4 0.5000 0.5000 0.1005
Al5 0.5000 0.5000 0.3016
Al6 0.5000 0.5000 0.5000
```

=====

No. 2
This entry pairs a crystal structure of Rb2AlInI6 with its calculated powder diffraction line list. Radiation: copper Kα. Structure: a crystal structure in the Materials Project, relaxed with PBE.

The 6 most intense peaks (10 to 80 degrees two-theta), by angle:
(2 0 0), 6.074 Å, 2θ 14.58, rel. 25.9
(2 2 2), 3.507 Å, 2θ 25.40, rel. 100.0
(4 0 0), 3.037 Å, 2θ 29.41, rel. 96.7
(4 4 0), 2.148 Å, 2θ 42.07, rel. 67.5
(6 2 2), 1.832 Å, 2θ 49.79, rel. 39.4
(8 4 0), 1.358 Å, 2θ 69.16, rel. 25.4

Structural model:
```
data_Rb2AlInI6
_chemical_formula_sum 'Rb8 Al4 In4 I24'
_space_group_name_H-M_alt 'F m -3 m'
_space_group_IT_number 225
_space_group_name_Hall '-F 4 2 3'
_cell_length_a 12.1489
_cell_length_b 12.1489
_cell_length_c 12.1489
_cell_angle_alpha 90.00
_cell_angle_beta 90.00
_cell_angle_gamma 90.00
loop_
_atom_site_label
_atom_site_fract_x
_atom_site_fract_y
_atom_site_fract_z
Rb1 0.2500 0.2500 0.2500
Al1 0.0000 0.0000 0.0000
In1 0.0000 0.0000 0.5000
I1 0.0000 0.0000 0.2299
```

=====

No. 3
This entry pairs a crystal structure of La8Al4I7 with its calculated powder diffraction line list. Radiation: copper Kα. Structure: a crystal structure in the Materials Project, relaxed with PBE.

The 6 most intense peaks (10 to 80 degrees two-theta), by angle:
(3 1 -6), 3.170 Å, 2θ 28.15, rel. 99.8
(5 1 -6), 3.140 Å, 2θ 28.43, rel. 67.9
(7 1 -6), 2.999 Å, 2θ 29.79, rel. 90.8
(1 1 6), 2.897 Å, 2θ 30.86, rel. 70.0
(12 0 -7), 2.841 Å, 2θ 31.49, rel. 100.0
(0 2 0), 2.169 Å, 2θ 41.63, rel. 81.9

Structural model:
```
data_La8Al4I7
_chemical_formula_sum 'La48 Al24 I42'
_space_group_name_H-M_alt 'C 1 2/m 1'
_space_group_IT_number 12
_cell_length_a 35.8961
_cell_length_b 4.3388
_cell_length_c 27.9306
_cell_angle_alpha 90.00
_cell_angle_beta 117.05
_cell_angle_gamma 90.00
loop_
_space_group_symop_operation_xyz
'x,y,z'
'-x,-y,-z'
'-x,y,-z'
'x,-y,z'
'x+1/2,y+1/2,z'
'-x+1/2,-y+1/2,-z'
'-x+1/2,y+1/2,-z'
'x+1/2,-y+1/2,z'
loop_
_atom_site_label
_atom_site_fract_x
_atom_site_fract_y
_atom_site_fract_z
La1 0.0024 0.0000 0.0766
La2 0.0120 0.0000 0.2631
La3 0.0232 0.0000 0.4189
La4 0.0837 0.5000 0.6225
La5 0.0978 0.5000 0.7977
La6 0.1083 0.5000 0.9748
La7 0.1149 0.5000 0.1414
La8 0.1253 0.5000 0.3128
La9 0.1406 0.5000 0.4790
La10 0.1717 0.0000 0.7471
La11 0.1926 0.0000 0.1028
La12 0.2096 0.0000 0.4342
Al1 0.0221 0.5000 0.6773
Al2 0.0404 0.5000 0.0233
Al3 0.0590 0.5000 0.3613
Al4 0.0698 0.0000 0.6999
Al5 0.0885 0.0000 0.0460
Al6 0.1041 0.0000 0.3818
I1 0.0000 0.5000 0.5000
I2 0.0269 0.5000 0.8478
I3 0.0790 0.0000 0.2064
I4 0.1045 0.0000 0.5402
I5 0.1345 0.0000 0.9017
I6 0.1849 0.5000 0.6716
I7 0.1950 0.0000 0.3114
I8 0.1992 0.5000 0.8434
I9 0.2099 0.5000 0.0303
I10 0.2168 0.0000 0.5563
I11 0.2175 0.5000 0.2003
```

=====

No. 4
This entry pairs a crystal structure of La2Al2I with its calculated powder diffraction line list. Radiation: copper Kα. Structure: a crystal structure in the Materials Project, relaxed with PBE.

The 6 most intense peaks (10 to 80 degrees two-theta), by angle:
(1 0 0), 3.811 Å, 2θ 23.34, rel. 26.3
(1 0 4), 2.887 Å, 2θ 30.97, rel. 100.0
(1 1 0), 2.200 Å, 2θ 41.03, rel. 36.5
(2 0 4), 1.750 Å, 2θ 52.28, rel. 24.2
(1 1 8), 1.560 Å, 2θ 59.23, rel. 23.0
(2 1 4), 1.369 Å, 2θ 68.52, rel. 20.7

Structural model:
```
data_La2Al2I
_chemical_formula_sum 'La4 Al4 I2'
_space_group_name_H-M_alt 'P 63/m m c'
_space_group_IT_number 194
_space_group_name_Hall '-P 6c 2c'
_cell_length_a 4.4000
_cell_length_b 4.4000
_cell_length_c 17.7000
_cell_angle_alpha 90.00
_cell_angle_beta 90.00
_cell_angle_gamma 120.00
loop_
_atom_site_label
_atom_site_fract_x
_atom_site_fract_y
_atom_site_fract_z
La1 0.0000 0.0000 0.1192
Al1 0.3333 0.6667 0.0062
I1 0.3333 0.6667 0.7500
```

=====

No. 5
This entry pairs a crystal structure of La8Al4I7 with its calculated powder diffraction line list. Radiation: copper Kα. Structure: a crystal structure in the Materials Project, relaxed with PBE.

The 6 most intense peaks (10 to 80 degrees two-theta), by angle:
(1 1 2), 3.668 Å, 2θ 24.27, rel. 74.4
(1 -1 4), 3.436 Å, 2θ 25.93, rel. 100.0
(0 3 -8), 3.027 Å, 2θ 29.51, rel. 61.9
(0 6 1), 2.842 Å, 2θ 31.48, rel. 58.5
(0 3 9), 2.316 Å, 2θ 38.89, rel. 59.6
(-2 5 1), 1.943 Å, 2θ 46.76, rel. 59.9

Structural model:
```
data_La8Al4I7
_chemical_formula_sum 'La24 Al12 I21'
_space_group_name_H-M_alt 'P -1'
_space_group_IT_number 2
_cell_length_a 4.3309
_cell_length_b 18.1385
_cell_length_c 25.5466
_cell_angle_alpha 101.63
_cell_angle_beta 94.83
_cell_angle_gamma 96.85
loop_
_space_group_symop_operation_xyz
'x,y,z'
'-x,-y,-z'
loop_
_atom_site_label
_atom_site_fract_x
_atom_site_fract_y
_atom_site_fract_z
La1 0.0543 0.0466 0.3767
La2 0.1223 0.7428 0.0261
La3 0.1422 0.8714 0.4187
La4 0.1884 0.4387 0.6876
La5 0.2184 0.5721 0.0769
La6 0.2364 0.6971 0.4783
La7 0.2490 0.5140 0.4346
La8 0.2711 0.2617 0.7370
La9 0.3462 0.4111 0.1410
La10 0.3490 0.2199 0.1020
La11 0.3837 0.9041 0.7454
La12 0.3997 0.1007 0.7977
Al1 0.2545 0.9415 0.3005
Al2 0.2936 0.7433 0.3607
Al3 0.3107 0.6331 0.9542
Al4 0.3657 0.4424 0.0234
Al5 0.3780 0.3275 0.6176
Al6 0.4203 0.1336 0.6780
I1 0.0000 0.0000 0.5000
I2 0.0106 0.2646 0.2007
I3 0.0261 0.9424 0.8427
I4 0.0316 0.1329 0.9006
I5 0.0410 0.5787 0.6896
I6 0.0939 0.7057 0.1521
I7 0.1047 0.8321 0.5416
I8 0.2230 0.5468 0.2053
I9 0.4075 0.3765 0.4430
I10 0.4166 0.2005 0.3286
I11 0.4599 0.8904 0.9689
```

=====

No. 6
This entry pairs a crystal structure of La8Al4I7 with its calculated powder diffraction line list. Radiation: copper Kα. Structure: a crystal structure in the Materials Project, relaxed with PBE.

The 6 most intense peaks (10 to 80 degrees two-theta), by angle:
(1 3 -3), 3.254 Å, 2θ 27.41, rel. 62.4
(1 1 4), 3.163 Å, 2θ 28.21, rel. 100.0
(1 2 3), 3.133 Å, 2θ 28.49, rel. 62.0
(-1 4 3), 2.994 Å, 2θ 29.84, rel. 95.8
(1 -1 6), 2.896 Å, 2θ 30.88, rel. 73.7
(-2 1 1), 2.165 Å, 2θ 41.71, rel. 81.2

Structural model:
```
data_La8Al4I7
_chemical_formula_sum 'La24 Al12 I21'
_space_group_name_H-M_alt 'P 1'
_space_group_IT_number 1
_cell_length_a 4.3309
_cell_length_b 18.1385
_cell_length_c 25.5466
_cell_angle_alpha 101.63
_cell_angle_beta 94.83
_cell_angle_gamma 96.85
loop_
_space_group_symop_operation_xyz
'x,y,z'
loop_
_atom_site_label
_atom_site_fract_x
_atom_site_fract_y
_atom_site_fract_z
La1 0.0000 0.0000 0.0000
La2 0.0149 0.2080 0.8206
La3 0.0876 0.7308 0.4445
La4 0.1240 0.5286 0.7209
La5 0.1518 0.9424 0.3575
La6 0.1804 0.1658 0.1856
La7 0.2376 0.8664 0.6106
La8 0.2890 0.6851 0.8971
La9 0.3252 0.2993 0.3419
La10 0.3506 0.5235 0.1766
La11 0.3993 0.0169 0.7821
La12 0.4497 0.8391 0.0642
La13 0.5011 0.3321 0.6686
La14 0.5314 0.5565 0.5038
La15 0.5625 0.1722 0.9491
La16 0.6147 0.9893 0.2355
La17 0.6734 0.6897 0.6601
La18 0.7048 0.9139 0.4885
La19 0.7275 0.3278 0.1252
La20 0.7678 0.1251 0.4014
La21 0.8349 0.6478 0.0251
La22 0.8508 0.8572 0.8468
La23 0.8867 0.4746 0.2998
La24 0.9630 0.3806 0.5449
Al1 0.0805 0.5607 0.6006
Al2 0.1238 0.6840 0.5620
Al3 0.2077 0.1003 0.3053
Al4 0.2974 0.3684 0.2229
Al5 0.4067 0.8703 0.9465
Al6 0.4444 0.9870 0.9003
Al7 0.5542 0.4864 0.6226
Al8 0.6487 0.7555 0.5407
Al9 0.7326 0.1713 0.2838
Al10 0.7726 0.2943 0.2451
Al11 0.8804 0.7957 0.9691
Al12 0.9702 0.0611 0.8773
I1 0.0422 0.8492 0.2336
I2 0.0519 0.9751 0.1286
I3 0.0670 0.3704 0.7658
I4 0.1598 0.2951 0.0225
I5 0.2431 0.7223 0.7710
I6 0.2438 0.5381 0.9531
I7 0.2712 0.0514 0.4801
I8 0.3649 0.2598 0.4635
I9 0.4072 0.6925 0.1238
I10 0.4449 0.1636 0.7221
I11 0.4853 0.5958 0.3816
I12 0.5870 0.8051 0.3657
I13 0.6049 0.3183 0.8920
I14 0.6088 0.1347 0.0753
I15 0.6910 0.5612 0.8238
I16 0.7821 0.4853 0.0792
I17 0.7963 0.8811 0.7178
I18 0.8065 0.0068 0.6125
I19 0.9131 0.2270 0.5936
I20 0.9294 0.4285 0.4226
I21 0.9414 0.6284 0.2517
```